# CrN2
Simulated powder X-ray diffraction pattern, Cu Kα, 1.54184 Å. Input: a cell relaxed with GGA-PBE.

Top 10 peaks for 10 to 90 degrees two-theta, sorted by position:
hkl 1 1 0, 2θ 27.12, intensity 100
hkl 2 0 0, 2θ 38.72, intensity 12
hkl 1 0 1, 2θ 39.10, intensity 47
hkl 1 1 1, 2θ 43.85, intensity 8
hkl 2 2 0, 2θ 55.92, intensity 17
hkl 2 1 1, 2θ 56.20, intensity 48
hkl 3 1 0, 2θ 63.23, intensity 11
hkl 3 0 1, 2θ 70.34, intensity 16
hkl 1 1 2, 2θ 77.63, intensity 7
hkl 3 2 1, 2θ 83.30, intensity 6

Crystal structure
Lattice parameters (Å, degrees): 4.6507 4.6507 2.6524 90.00 90.00 90.00
Positions (direct):
Cr: 0.0000 0.0000 0.0000
Cr: 0.5000 0.5000 0.5000
N: 0.2010 0.2010 0.5000
N: 0.2990 0.7010 0.0000
N: 0.7010 0.2990 0.0000
N: 0.7990 0.7990 0.5000